Entry 1:
Calculated XRD peak list of CsGeO3 for Cu Kα (λ = 1.5418 Å), from a crystal structure in the Materials Project, relaxed with GGA-PBE.
Intensities are scaled so that the largest is 100.

Peak list (10 most intense, 15 to 90 degrees two-theta, sorted by position)
Position (°2θ), intensity
21.87, 4
31.12, 100
38.36, 11
44.59, 33
50.19, 2
55.37, 40
64.89, 20
73.71, 17
77.96, 3
82.15, 7

Structure:
a = 4.0646 Å, b = 4.0646 Å, c = 4.0646 Å
α = 90.00°, β = 90.00°, γ = 90.00°
Atoms (fractional coordinates):
Cs  0.0000  0.0000  0.0000
Ge  0.5000  0.5000  0.5000
O  0.0000  0.5000  0.5000
O  0.5000  0.0000  0.5000
O  0.5000  0.5000  0.0000

---

Entry 2:
Calculated XRD peak list of Cs6Ge2O7 for Cu Kα (λ = 1.5418 Å), from a crystal structure in the Materials Project, relaxed with GGA-PBE.
Intensities are scaled so that the largest is 100.

Peak list (10 most intense, 15 to 90 degrees two-theta, sorted by position)
Position (°2θ), intensity
25.18, 69
25.95, 99
27.28, 75
28.17, 98
28.30, 100
29.08, 80
30.51, 62
30.94, 85
31.47, 37
34.48, 56

Structure:
a = 7.3170 Å, b = 9.9630 Å, c = 12.3030 Å
α = 90.00°, β = 125.24°, γ = 90.00°
Atoms (fractional coordinates):
Cs  0.0280  0.1462  0.4134
Cs  0.0280  0.3538  0.9134
Cs  0.2075  0.5253  0.4545
Cs  0.2075  0.9747  0.9545
Cs  0.3922  0.2177  0.2776
Cs  0.3922  0.2823  0.7776
Cs  0.6078  0.7177  0.2224
Cs  0.6078  0.7823  0.7224
Cs  0.7925  0.0253  0.0455
Cs  0.7925  0.4747  0.5455
Cs  0.9720  0.6462  0.0866
Cs  0.9720  0.8538  0.5866
Ge  0.3285  0.6340  0.8749
Ge  0.3285  0.8660  0.3749
Ge  0.6715  0.1340  0.6251
Ge  0.6715  0.3660  0.1251
O  0.0848  0.6572  0.8724
O  0.0848  0.8428  0.3724
O  0.2642  0.5813  0.7183
O  0.2642  0.9187  0.2183
O  0.4973  0.2206  0.0660
O  0.4973  0.2794  0.5660
O  0.5000  0.0000  0.5000
O  0.5000  0.5000  0.0000
O  0.5027  0.7206  0.4340
O  0.5027  0.7794  0.9340
O  0.7358  0.0813  0.7817
O  0.7358  0.4187  0.2817
O  0.9152  0.1572  0.6276
O  0.9152  0.3428  0.1276

---

Entry 3:
Calculated XRD peak list of Cs3Ge2Sb3O13 for Cu Kα (λ = 1.5418 Å), from a crystal structure in the Materials Project, relaxed with GGA-PBE.
Intensities are scaled so that the largest is 100.

Peak list (10 most intense, 15 to 90 degrees two-theta, sorted by position)
Position (°2θ), intensity
23.99, 63
25.23, 88
26.23, 56
27.77, 75
29.75, 100
29.87, 35
32.10, 59
42.95, 32
49.11, 58
67.15, 33

Structure:
a = 7.4183 Å, b = 7.4183 Å, c = 16.9010 Å
α = 90.00°, β = 90.00°, γ = 119.95°
Atoms (fractional coordinates):
Cs  0.0068  0.9932  0.6131
Cs  0.0068  0.9932  0.8869
Cs  0.3312  0.6688  0.2500
Cs  0.6688  0.3312  0.7500
Cs  0.9932  0.0068  0.1131
Cs  0.9932  0.0068  0.3869
Ge  0.3333  0.6667  0.6468
Ge  0.3333  0.6667  0.8532
Ge  0.6667  0.3333  0.1468
Ge  0.6667  0.3333  0.3532
Sb  0.0000  0.5000  0.0000
Sb  0.0000  0.5000  0.5000
Sb  0.5000  0.0000  0.0000
Sb  0.5000  0.0000  0.5000
Sb  0.5000  0.5000  0.0000
Sb  0.5000  0.5000  0.5000
O  0.0675  0.5346  0.6184
O  0.0675  0.5346  0.8816
O  0.2006  0.7994  0.0216
O  0.2006  0.7994  0.4784
O  0.2019  0.4031  0.0214
O  0.2019  0.4031  0.4786
O  0.3285  0.6715  0.7500
O  0.4031  0.2019  0.5214
O  0.4031  0.2019  0.9786
O  0.4654  0.9325  0.6184
O  0.4654  0.9325  0.8816
O  0.4665  0.5335  0.6191
O  0.4665  0.5335  0.8809
O  0.5335  0.4665  0.1191
O  0.5335  0.4665  0.3809
O  0.5346  0.0675  0.1184
O  0.5346  0.0675  0.3816
O  0.5969  0.7981  0.0214
O  0.5969  0.7981  0.4786
O  0.6715  0.3285  0.2500
O  0.7981  0.5969  0.5214
O  0.7981  0.5969  0.9786
O  0.7994  0.2006  0.5216
O  0.7994  0.2006  0.9784
O  0.9325  0.4654  0.1184
O  0.9325  0.4654  0.3816

---

Entry 4:
Calculated XRD peak list of Cs2GeTe3O12 for Cu Kα (λ = 1.5418 Å), from a crystal structure in the Materials Project, relaxed with GGA-PBE.
Intensities are scaled so that the largest is 100.

Peak list (10 most intense, 15 to 90 degrees two-theta, sorted by position)
Position (°2θ), intensity
24.99, 32
28.71, 74
28.97, 100
29.49, 43
30.11, 55
31.10, 18
45.86, 31
49.97, 42
51.28, 40
60.04, 17

Structure:
a = 7.1307 Å, b = 7.1307 Å, c = 7.1307 Å
α = 61.58°, β = 61.58°, γ = 61.58°
Atoms (fractional coordinates):
Cs  0.1274  0.1274  0.1274
Cs  0.8726  0.8726  0.8726
Ge  0.5000  0.5000  0.5000
Te  0.0000  0.5000  0.5000
Te  0.5000  0.0000  0.5000
Te  0.5000  0.5000  0.0000
O  0.1749  0.1749  0.5677
O  0.1749  0.5677  0.1749
O  0.1826  0.5695  0.5695
O  0.4305  0.4305  0.8174
O  0.4305  0.8174  0.4305
O  0.4323  0.8251  0.8251
O  0.5677  0.1749  0.1749
O  0.5695  0.1826  0.5695
O  0.5695  0.5695  0.1826
O  0.8174  0.4305  0.4305
O  0.8251  0.4323  0.8251
O  0.8251  0.8251  0.4323

---

Entry 5:
Calculated XRD peak list of Cs5GeP3 for Cu Kα (λ = 1.5418 Å), from a crystal structure in the Materials Project, relaxed with GGA-PBE.
Intensities are scaled so that the largest is 100.

Peak list (10 most intense, 15 to 90 degrees two-theta, sorted by position)
Position (°2θ), intensity
20.67, 30
25.45, 54
27.48, 100
28.66, 64
28.97, 47
29.22, 47
29.62, 78
32.30, 26
41.93, 20
55.86, 21

Structure:
a = 14.5442 Å, b = 6.0323 Å, c = 15.9765 Å
α = 90.00°, β = 90.00°, γ = 90.00°
Atoms (fractional coordinates):
Cs  0.0477  0.2500  0.1491
Cs  0.0609  0.2500  0.4496
Cs  0.1164  0.2500  0.6893
Cs  0.1455  0.7500  0.0491
Cs  0.2263  0.7500  0.7938
Cs  0.2737  0.2500  0.2938
Cs  0.3545  0.2500  0.5491
Cs  0.3836  0.7500  0.1893
Cs  0.4391  0.7500  0.9496
Cs  0.4523  0.7500  0.6491
Cs  0.5477  0.2500  0.3509
Cs  0.5609  0.2500  0.0504
Cs  0.6164  0.2500  0.8107
Cs  0.6455  0.7500  0.4509
Cs  0.7263  0.7500  0.7062
Cs  0.7737  0.2500  0.2062
Cs  0.8545  0.2500  0.9509
Cs  0.8836  0.7500  0.3107
Cs  0.9391  0.7500  0.5504
Cs  0.9523  0.7500  0.8509
Ge  0.2389  0.7500  0.4361
Ge  0.2611  0.2500  0.9361
Ge  0.7389  0.7500  0.0639
Ge  0.7611  0.2500  0.5639
P  0.1055  0.2500  0.9127
P  0.1352  0.7500  0.3277
P  0.1928  0.7500  0.5735
P  0.3072  0.2500  0.0735
P  0.3648  0.2500  0.8277
P  0.3945  0.7500  0.4127
P  0.6055  0.2500  0.5873
P  0.6352  0.7500  0.1723
P  0.6928  0.7500  0.9265
P  0.8072  0.2500  0.4265
P  0.8648  0.2500  0.6723
P  0.8945  0.7500  0.0873

---

Which formula does entry 4 have?
Cs2GeTe3O12

---

What did the third record say?
Calculated XRD peak list of Cs3Ge2Sb3O13 for Cu Kα (λ = 1.5418 Å), from a crystal structure in the Materials Project, relaxed with GGA-PBE.
Intensities are scaled so that the largest is 100.

Peak list (10 most intense, 15 to 90 degrees two-theta, sorted by position)
Position (°2θ), intensity
23.99, 63
25.23, 88
26.23, 56
27.77, 75
29.75, 100
29.87, 35
32.10, 59
42.95, 32
49.11, 58
67.15, 33

Structure:
a = 7.4183 Å, b = 7.4183 Å, c = 16.9010 Å
α = 90.00°, β = 90.00°, γ = 119.95°
Atoms (fractional coordinates):
Cs  0.0068  0.9932  0.6131
Cs  0.0068  0.9932  0.8869
Cs  0.3312  0.6688  0.2500
Cs  0.6688  0.3312  0.7500
Cs  0.9932  0.0068  0.1131
Cs  0.9932  0.0068  0.3869
Ge  0.3333  0.6667  0.6468
Ge  0.3333  0.6667  0.8532
Ge  0.6667  0.3333  0.1468
Ge  0.6667  0.3333  0.3532
Sb  0.0000  0.5000  0.0000
Sb  0.0000  0.5000  0.5000
Sb  0.5000  0.0000  0.0000
Sb  0.5000  0.0000  0.5000
Sb  0.5000  0.5000  0.0000
Sb  0.5000  0.5000  0.5000
O  0.0675  0.5346  0.6184
O  0.0675  0.5346  0.8816
O  0.2006  0.7994  0.0216
O  0.2006  0.7994  0.4784
O  0.2019  0.4031  0.0214
O  0.2019  0.4031  0.4786
O  0.3285  0.6715  0.7500
O  0.4031  0.2019  0.5214
O  0.4031  0.2019  0.9786
O  0.4654  0.9325  0.6184
O  0.4654  0.9325  0.8816
O  0.4665  0.5335  0.6191
O  0.4665  0.5335  0.8809
O  0.5335  0.4665  0.1191
O  0.5335  0.4665  0.3809
O  0.5346  0.0675  0.1184
O  0.5346  0.0675  0.3816
O  0.5969  0.7981  0.0214
O  0.5969  0.7981  0.4786
O  0.6715  0.3285  0.2500
O  0.7981  0.5969  0.5214
O  0.7981  0.5969  0.9786
O  0.7994  0.2006  0.5216
O  0.7994  0.2006  0.9784
O  0.9325  0.4654  0.1184
O  0.9325  0.4654  0.3816

---

What is the formula in the fourth record?
Cs2GeTe3O12